Li4Co2Si3O10: theoretical powder diffraction line list (a wavelength of 1.5418 Å), based on a PBE+U-relaxed structure.

The 10 most intense peaks (2θ from 10° to 80°), in order of rising 2θ:
2θ = 10.48°, rel. 41; 2θ = 19.05°, rel. 26; 2θ = 19.39°, rel. 100; 2θ = 21.06°, rel. 62; 2θ = 22.50°, rel. 42; 2θ = 27.40°, rel. 32; 2θ = 31.79°, rel. 71; 2θ = 33.44°, rel. 67; 2θ = 36.81°, rel. 41; 2θ = 59.36°, rel. 38

Crystal structure
```
Li4Co2Si3O10
1.0
4.629 -2.706 0.000
4.629 2.706 0.000
-2.578 0.000 16.889
Li Co Si O
8 4 6 20
Cartesian
1.099 0.561 3.860 Li
0.945 0.387 9.316 Li
-0.190 -0.561 12.304 Li
2.234 -0.387 0.872 Li
4.446 0.387 16.017 Li
6.871 0.561 4.585 Li
5.735 -0.387 7.572 Li
5.581 -0.561 13.029 Li
1.317 0.457 15.426 Co
2.606 -0.457 6.982 Co
4.074 0.457 9.907 Co
5.363 -0.457 1.463 Co
3.778 2.178 1.648 Si
4.191 2.178 6.796 Si
3.985 0.641 4.222 Si
2.695 -0.641 12.666 Si
2.489 -2.178 10.093 Si
2.902 -2.178 15.240 Si
0.590 0.244 1.810 O
3.259 1.723 3.184 O
0.780 0.400 7.351 O
-0.699 -0.244 10.255 O
4.710 1.723 5.260 O
-0.509 -0.400 15.796 O
3.894 0.766 0.817 O
1.480 0.206 13.323 O
2.769 -0.206 4.879 O
4.075 0.766 7.628 O
2.605 -0.766 9.261 O
3.911 0.206 12.010 O
5.200 -0.206 3.566 O
2.786 -0.766 16.072 O
7.189 0.400 1.093 O
1.970 -1.723 11.629 O
7.379 0.244 6.634 O
5.900 -0.400 9.537 O
3.421 -1.723 13.704 O
6.090 -0.244 15.078 O
```

Li3Co2Si3O10: theoretical powder diffraction line list (a wavelength of 1.5418 Å), based on a PBE+U-relaxed structure.

The 10 most intense peaks (2θ from 10° to 80°), in order of rising 2θ:
2θ = 10.58°, rel. 62; 2θ = 18.59°, rel. 100; 2θ = 18.76°, rel. 41; 2θ = 19.27°, rel. 65; 2θ = 21.17°, rel. 86; 2θ = 22.01°, rel. 52; 2θ = 27.83°, rel. 47; 2θ = 32.11°, rel. 79; 2θ = 32.61°, rel. 69; 2θ = 33.49°, rel. 46

Crystal structure
```
Li3Co2Si3O10
1.0
4.794 -2.722 0.000
4.794 2.722 0.000
-1.539 0.000 16.726
Li Co Si O
6 4 6 20
Cartesian
4.087 1.998 3.178 Li
4.024 2.116 8.363 Li
4.984 0.754 12.153 Li
5.753 -0.754 3.790 Li
3.317 -1.998 11.541 Li
4.794 -2.116 0.000 Li
0.951 0.466 6.281 Co
0.182 -0.466 14.644 Co
3.287 0.540 0.550 Co
2.517 -0.540 8.913 Co
1.371 0.659 11.749 Si
2.141 -0.659 3.387 Si
6.429 0.555 0.792 Si
7.467 0.558 5.891 Si
5.659 -0.555 9.155 Si
6.697 -0.558 14.254 Si
4.016 2.564 6.463 O
2.288 1.684 12.697 O
0.969 0.702 8.375 O
0.919 0.045 4.205 O
1.473 0.843 15.102 O
0.149 -0.045 12.568 O
3.078 0.398 2.636 O
1.739 -0.702 0.012 O
2.308 -0.398 10.999 O
2.243 -0.843 6.739 O
6.121 0.954 2.427 O
4.358 0.282 8.720 O
5.128 -0.282 0.357 O
5.485 0.537 14.099 O
3.057 -1.684 4.334 O
7.118 0.181 9.110 O
6.255 -0.537 5.737 O
5.351 -0.954 10.790 O
7.887 -0.181 0.748 O
3.246 -2.564 14.826 O
```

LiCoSiO4: theoretical powder diffraction line list (a wavelength of 1.5418 Å), based on a PBE+U-relaxed structure.

The 10 most intense peaks (2θ from 10° to 80°), in order of rising 2θ:
2θ = 21.85°, rel. 100; 2θ = 24.18°, rel. 10; 2θ = 27.77°, rel. 7; 2θ = 28.02°, rel. 10; 2θ = 32.24°, rel. 27; 2θ = 34.66°, rel. 34; 2θ = 41.17°, rel. 10; 2θ = 48.24°, rel. 14; 2θ = 60.60°, rel. 16; 2θ = 72.13°, rel. 10

Crystal structure
```
LiCoSiO4
1.0
3.639 -3.681 0.000
3.639 3.681 0.000
0.000 0.000 6.581
Li Co Si O
2 2 2 8
Cartesian
1.389 0.000 0.000 Li
5.889 0.000 3.290 Li
1.359 0.000 3.290 Co
5.919 0.000 0.000 Co
3.639 1.374 1.645 Si
3.639 -1.374 4.935 Si
3.557 2.328 0.309 O
3.721 2.328 2.982 O
2.292 0.427 1.743 O
2.292 -0.427 4.838 O
4.986 0.427 1.547 O
4.986 -0.427 5.033 O
3.557 -2.328 6.272 O
3.721 -2.328 3.599 O
```

LiCoSiO4: theoretical powder diffraction line list (a wavelength of 1.5418 Å), based on a PBE+U-relaxed structure.

The 10 most intense peaks (2θ from 10° to 80°), in order of rising 2θ:
2θ = 20.70°, rel. 100; 2θ = 21.69°, rel. 85; 2θ = 26.78°, rel. 10; 2θ = 32.63°, rel. 17; 2θ = 35.22°, rel. 21; 2θ = 35.46°, rel. 36; 2θ = 39.52°, rel. 13; 2θ = 41.19°, rel. 14; 2θ = 60.08°, rel. 9; 2θ = 63.36°, rel. 14

Crystal structure
```
LiCoSiO4
1.0
4.281 -2.744 0.000
4.281 2.744 0.000
-2.504 0.000 8.198
Li Co Si O
2 2 2 8
Cartesian
3.029 2.426 4.099 Li
4.281 -2.426 0.000 Li
2.512 1.180 1.452 Co
1.260 -1.180 5.551 Co
5.468 1.290 2.402 Si
4.216 -1.290 6.501 Si
4.337 1.603 1.242 O
1.238 0.533 6.139 O
4.757 1.642 3.847 O
2.490 -0.533 2.040 O
4.802 0.251 6.640 O
3.085 -1.603 5.341 O
6.054 -0.251 2.541 O
3.505 -1.642 7.946 O
```

Li10CoSi2O10: theoretical powder diffraction line list (a wavelength of 1.5418 Å), based on a PBE+U-relaxed structure.

The 10 most intense peaks (2θ from 10° to 80°), in order of rising 2θ:
2θ = 17.37°, rel. 28; 2θ = 19.42°, rel. 38; 2θ = 20.76°, rel. 47; 2θ = 22.39°, rel. 100; 2θ = 23.16°, rel. 21; 2θ = 28.92°, rel. 21; 2θ = 32.91°, rel. 22; 2θ = 34.61°, rel. 30; 2θ = 49.31°, rel. 24; 2θ = 58.02°, rel. 22

Crystal structure
```
Li10CoSi2O10
1.0
5.184 0.000 0.000
0.000 6.175 0.000
-2.434 -3.088 14.833
Li Co Si O
20 2 4 20
Cartesian
0.000 0.000 0.000 Li
0.000 2.527 0.000 Li
-0.308 1.263 3.170 Li
-0.318 4.351 7.665 Li
-0.659 -0.515 10.847 Li
-0.659 3.042 10.847 Li
0.259 1.263 8.927 Li
1.519 3.017 1.889 Li
1.519 5.685 1.889 Li
-0.208 -1.824 13.108 Li
1.457 1.263 4.831 Li
1.473 -0.246 7.060 Li
1.473 2.773 7.060 Li
3.082 -0.306 3.782 Li
3.082 2.833 3.782 Li
3.089 4.351 6.009 Li
2.316 -1.824 12.553 Li
3.038 -0.094 8.956 Li
3.038 2.620 8.956 Li
4.280 4.351 1.911 Li
-1.054 1.263 13.867 Co
3.131 1.263 11.700 Co
0.506 4.351 4.490 Si
1.492 -1.824 9.866 Si
3.047 1.263 0.968 Si
4.040 1.263 6.353 Si
-1.389 1.263 9.990 O
-1.541 -0.298 12.844 O
-1.541 2.825 12.844 O
0.716 4.351 0.744 O
1.392 1.263 0.831 O
0.490 1.263 6.511 O
1.092 -0.432 3.739 O
1.092 2.959 3.739 O
1.021 4.351 6.062 O
0.994 3.019 8.920 O
1.039 -0.508 9.011 O
0.751 -1.824 11.347 O
1.351 -1.824 14.322 O
3.516 -0.068 1.814 O
3.516 2.595 1.814 O
3.525 1.263 4.766 O
3.453 -0.107 7.094 O
3.453 2.634 7.094 O
4.053 4.351 4.326 O
3.149 -1.824 10.012 O
```

LiCoSiO4: theoretical powder diffraction line list (a wavelength of 1.5418 Å), based on a PBE+U-relaxed structure.

The 10 most intense peaks (2θ from 10° to 80°), in order of rising 2θ:
2θ = 19.51°, rel. 58; 2θ = 21.96°, rel. 26; 2θ = 24.17°, rel. 27; 2θ = 32.54°, rel. 37; 2θ = 34.78°, rel. 100; 2θ = 37.10°, rel. 36; 2θ = 43.80°, rel. 26; 2θ = 49.52°, rel. 27; 2θ = 59.51°, rel. 22; 2θ = 64.43°, rel. 32

Crystal structure
```
LiCoSiO4
1.0
2.751 -4.048 0.000
2.751 4.048 0.000
0.000 0.000 6.263
Li Co Si O
2 2 2 8
Cartesian
2.751 2.644 4.697 Li
2.751 -2.644 1.566 Li
2.751 0.000 0.000 Co
2.751 0.000 3.131 Co
2.751 2.816 1.566 Si
2.751 -2.816 4.697 Si
1.321 0.224 4.697 O
1.321 -0.224 1.566 O
2.751 1.867 0.230 O
2.751 1.867 2.902 O
2.751 -1.867 3.361 O
2.751 -1.867 6.033 O
4.182 0.224 4.697 O
4.182 -0.224 1.566 O
```

LiCoSiO4: theoretical powder diffraction line list (a wavelength of 1.5418 Å), based on a PBE+U-relaxed structure.

The 10 most intense peaks (2θ from 10° to 80°), in order of rising 2θ:
2θ = 15.84°, rel. 62; 2θ = 23.85°, rel. 100; 2θ = 29.55°, rel. 28; 2θ = 32.00°, rel. 14; 2θ = 33.70°, rel. 36; 2θ = 35.86°, rel. 29; 2θ = 36.80°, rel. 15; 2θ = 47.97°, rel. 13; 2θ = 48.83°, rel. 12; 2θ = 58.12°, rel. 18

Crystal structure
```
LiCoSiO4
1.0
5.008 0.000 0.000
0.000 5.594 0.000
-4.966 0.000 6.047
Li Co Si O
2 2 2 8
Cartesian
0.000 0.902 0.000 Li
-2.483 4.692 3.023 Li
-2.498 1.869 4.517 Co
-0.015 3.725 1.493 Co
2.469 1.924 1.517 Si
-0.014 3.670 4.540 Si
-2.206 1.032 2.871 O
-4.689 4.562 5.894 O
0.833 2.060 1.407 O
-1.650 3.534 4.431 O
3.013 1.191 0.140 O
0.530 4.403 3.164 O
0.660 2.170 4.667 O
3.143 3.424 1.644 O
```

Li10CoSi2O10: theoretical powder diffraction line list (a wavelength of 1.5418 Å), based on a PBE+U-relaxed structure.

The 10 most intense peaks (2θ from 10° to 80°), in order of rising 2θ:
2θ = 17.37°, rel. 28; 2θ = 19.42°, rel. 39; 2θ = 20.76°, rel. 51; 2θ = 22.39°, rel. 100; 2θ = 23.15°, rel. 20; 2θ = 28.92°, rel. 21; 2θ = 32.91°, rel. 21; 2θ = 34.24°, rel. 20; 2θ = 34.61°, rel. 30; 2θ = 58.02°, rel. 23

Crystal structure
```
Li10CoSi2O10
1.0
5.184 0.000 0.000
0.000 6.175 0.000
2.434 3.076 14.833
Li Co Si O
20 2 4 20
Cartesian
0.000 0.000 0.000 Li
2.441 6.242 14.831 Li
2.448 7.754 12.605 Li
1.674 1.577 6.060 Li
2.389 5.991 9.660 Li
2.397 3.319 9.657 Li
1.205 4.683 1.869 Li
2.109 2.856 3.781 Li
2.131 6.514 3.797 Li
1.801 1.570 0.611 Li
4.225 7.748 10.948 Li
3.860 2.851 7.755 Li
3.884 6.456 7.767 Li
4.802 4.658 9.686 Li
3.622 6.020 1.896 Li
3.628 3.348 1.892 Li
4.334 1.584 5.505 Li
6.000 4.664 13.783 Li
6.011 6.169 11.566 Li
6.015 3.165 11.553 Li
2.478 4.675 6.844 Co
3.488 4.662 4.747 Co
3.398 4.663 12.261 Si
5.049 7.751 14.124 Si
6.035 7.747 8.747 Si
5.156 1.592 2.813 Si
0.709 1.584 4.292 O
0.434 6.442 1.952 O
0.441 2.926 1.967 O
2.883 4.658 13.847 O
2.811 6.045 11.519 O
2.819 3.281 11.513 O
3.411 7.747 14.288 O
2.507 7.740 8.601 O
3.179 4.654 8.535 O
3.002 3.117 5.769 O
3.007 6.215 5.768 O
2.825 4.684 3.037 O
3.501 1.597 2.950 O
5.033 4.666 12.103 O
3.190 6.058 0.050 O
3.202 3.291 0.042 O
5.564 7.757 12.551 O
5.568 6.422 9.602 O
5.582 2.904 9.603 O
5.293 1.575 7.266 O
```

LiCoSiO4: theoretical powder diffraction line list (a wavelength of 1.5418 Å), based on a PBE+U-relaxed structure.

The 10 most intense peaks (2θ from 10° to 80°), in order of rising 2θ:
2θ = 19.28°, rel. 100; 2θ = 19.78°, rel. 53; 2θ = 19.88°, rel. 25; 2θ = 21.47°, rel. 17; 2θ = 21.76°, rel. 18; 2θ = 22.27°, rel. 19; 2θ = 22.44°, rel. 18; 2θ = 22.76°, rel. 20; 2θ = 34.69°, rel. 22; 2θ = 34.77°, rel. 19

Crystal structure
```
LiCoSiO4
1.0
5.173 0.000 0.000
2.574 4.494 0.000
0.631 0.268 9.208
Li Co Si O
2 2 2 8
Cartesian
0.000 0.000 0.000 Li
3.065 4.555 4.565 Li
3.046 1.519 4.085 Co
5.803 3.219 8.693 Co
2.600 1.472 0.717 Si
5.656 3.029 5.315 Si
2.008 2.989 4.693 O
1.011 1.572 0.313 O
3.393 2.800 0.154 O
2.743 1.368 2.339 O
4.925 4.434 4.887 O
3.265 0.114 0.050 O
4.790 1.753 4.724 O
5.735 2.911 6.942 O
```